[1]
Structure and calculated powder diffraction line list of K2CrAgPb (a structure optimized by DFT (GGA-PBE); Cu Kα X-rays).
Lines closer than 0.1° are merged.

Peak list (10 most intense, 2θ = 10–80°, by intensity)
| Position (°2θ) | d_spacing | Rel. int. | hkl |
| --- | --- | --- | --- |
| 22.3 | 3.992 | 1000 | 1 0 1 |
| 28.9 | 3.087 | 803 | 2 0 0 |
| 20.3 | 4.365 | 747 | 1 1 0 |
| 36.8 | 2.442 | 572 | 2 1 1 |
| 26.6 | 3.352 | 503 | 1 1 1 |
| 45.4 | 1.996 | 452 | 2 0 2 |
| 54.7 | 1.677 | 348 | 2 2 2 |
| 41.4 | 2.183 | 299 | 2 2 0 |
| 40.2 | 2.245 | 274 | 1 1 2 |
| 34.3 | 2.617 | 255 | 0 0 2 |

Atomic structure:
Cell lengths 6.1737, 6.1737, 5.2338 Å; angles 90.00, 90.00, 90.00 degrees
Fractional coordinates of all 5 atoms:
K 0.0000 0.5000 0.0000
K 0.5000 0.0000 0.0000
Cr 0.0000 0.0000 0.5000
Ag 0.0000 0.0000 0.0000
Pb 0.5000 0.5000 0.5000

[2]
Structure and calculated powder diffraction line list of RbSr2LiPd (a structure optimized by DFT (GGA-PBE); Cu Kα X-rays).
Lines closer than 0.1° are merged.

Peak list (10 most intense, 2θ = 10–80°, by intensity)
| Position (°2θ) | d_spacing | Rel. int. | hkl |
| --- | --- | --- | --- |
| 21.5 | 4.130 | 1000 | 1 0 1 |
| 29.5 | 3.029 | 891 | 2 0 0 |
| 43.8 | 2.065 | 591 | 2 0 2 |
| 15.7 | 5.644 | 536 | 0 0 1 |
| 36.8 | 2.443 | 496 | 2 1 1 |
| 26.1 | 3.412 | 438 | 1 1 1 |
| 31.7 | 2.822 | 368 | 0 0 2 |
| 33.6 | 2.669 | 332 | 2 0 1 |
| 42.2 | 2.142 | 331 | 2 2 0 |
| 53.7 | 1.706 | 322 | 2 2 2 |

Atomic structure:
Cell lengths 6.0588, 6.0588, 5.6441 Å; angles 90.00, 90.00, 90.00 degrees
Fractional coordinates of all 5 atoms:
Rb 0.0000 0.0000 0.0000
Sr 0.0000 0.5000 0.5000
Sr 0.5000 0.0000 0.5000
Li 0.5000 0.5000 0.0000
Pd 0.5000 0.5000 0.5000

[3]
Structure and calculated powder diffraction line list of UNiPH (a structure optimized by DFT (GGA-PBE); Cu Kα X-rays).
Lines closer than 0.1° are merged.

Peak list (10 most intense, 2θ = 10–80°, by intensity)
| Position (°2θ) | d_spacing | Rel. int. | hkl |
| --- | --- | --- | --- |
| 35.3 | 2.540 | 1000 | 1 0 1 |
| 26.1 | 3.409 | 452 | 1 0 0 |
| 46.1 | 1.968 | 326 | 1 1 0 |
| 59.4 | 1.556 | 227 | 2 0 1 |
| 78.3 | 1.220 | 212 | 2 1 1 |
| 68.6 | 1.369 | 202 | 1 1 2 |
| 55.2 | 1.663 | 128 | 1 0 2 |
| 23.3 | 3.810 | 102 | 0 0 1 |
| 47.7 | 1.905 | 98 | 0 0 2 |
| 52.3 | 1.749 | 83 | 1 1 1 |

Atomic structure:
Cell lengths 3.9360, 3.9360, 3.8098 Å; angles 90.00, 90.00, 120.00 degrees
Fractional coordinates of all 4 atoms:
U 0.0000 0.0000 0.0000
Ni 0.6667 0.3333 0.5000
P 0.3333 0.6667 0.5000
H 0.6667 0.3333 0.0000

[4]
Structure and calculated powder diffraction line list of Pb2OF2 (a structure optimized by DFT (GGA-PBE); Cu Kα X-rays).
Lines closer than 0.1° are merged.

Peak list (10 most intense, 2θ = 10–80°, by intensity)
| Position (°2θ) | d_spacing | Rel. int. | hkl |
| --- | --- | --- | --- |
| 26.2 | 3.401 | 1000 | 2 0 1 |
| 30.2 | 2.959 | 270 | 2 2 0 |
| 51.3 | 1.782 | 250 | 4 2 1 |
| 43.6 | 2.078 | 232 | 2 2 2 |
| 43.2 | 2.093 | 149 | 4 0 0 |
| 37.3 | 2.411 | 110 | 3 1 1 |
| 15.0 | 5.919 | 109 | 1 1 0 |
| 30.6 | 2.918 | 96 | 0 0 2 |
| 50.2 | 1.817 | 83 | 3 2 2 |
| 53.1 | 1.726 | 75 | 2 1 3 |

Atomic structure:
Cell lengths 8.3706, 8.3706, 5.8359 Å; angles 90.00, 90.00, 90.00 degrees
Fractional coordinates of all 20 atoms:
Pb 0.0294 0.2500 0.0487
Pb 0.2500 0.0294 0.5487
Pb 0.2500 0.4706 0.5487
Pb 0.4706 0.2500 0.0487
Pb 0.5294 0.7500 0.9513
Pb 0.7500 0.5294 0.4513
Pb 0.7500 0.9706 0.4513
Pb 0.9706 0.7500 0.9513
O 0.2500 0.2500 0.3239
O 0.2500 0.2500 0.8239
O 0.7500 0.7500 0.1761
O 0.7500 0.7500 0.6761
F 0.0343 0.5343 0.2500
F 0.0343 0.9657 0.2500
F 0.4657 0.5343 0.2500
F 0.4657 0.9657 0.2500
F 0.5343 0.0343 0.7500
F 0.5343 0.4657 0.7500
F 0.9657 0.0343 0.7500
F 0.9657 0.4657 0.7500